The following is a calculated X-ray powder pattern of NaNb4Tl3P2O17. It was derived from DFT lattice parameters and positions (PBE), using CuKα.
Intensities are scaled so that the largest is 100.

Top 10 peaks for 15° ≤ 2θ ≤ 90°, in order of falling intensity:
- 29.28°, 3.050 Å, I = 100
- 28.26°, 3.158 Å, I = 94
- 27.41°, 3.254 Å, I = 68
- 26.92°, 3.312 Å, I = 56
- 32.79°, 2.731 Å, I = 53
- 29.70°, 3.008 Å, I = 43
- 30.85°, 2.898 Å, I = 43
- 25.70°, 3.466 Å, I = 37
- 48.62°, 1.873 Å, I = 34
- 57.77°, 1.596 Å, I = 34

```
NaNb4Tl3P2O17
1.0
7.4910 0.0000 0.0000
0.0000 10.8368 5.0471
0.0000 -10.8368 5.0471
Na Nb Tl P O
2 8 6 4 34
Direct
0.0000 0.0000 0.0000
0.5000 0.0000 0.0000
0.0000 0.6311 0.6311
0.0006 0.5936 0.2863
0.2500 0.9591 0.4856
0.4994 0.5936 0.2863
0.5000 0.6311 0.6311
0.5006 0.2863 0.5936
0.7500 0.4856 0.9591
0.9994 0.2863 0.5936
0.2500 0.3142 0.9183
0.2500 0.3216 0.2653
0.2500 0.6664 0.9443
0.7500 0.2653 0.3216
0.7500 0.9183 0.3142
0.7500 0.9443 0.6664
0.2500 0.0509 0.2808
0.2500 0.9454 0.7701
0.7500 0.2808 0.0509
0.7500 0.7701 0.9454
0.0412 0.5719 0.4417
0.0625 0.1026 0.5582
0.0684 0.7912 0.3961
0.0762 0.8553 0.7326
0.0797 0.1468 0.3595
0.2500 0.0817 0.9316
0.2500 0.3463 0.6401
0.2500 0.5155 0.2153
0.2500 0.6315 0.6875
0.2500 0.9285 0.2962
0.2500 0.9782 0.1189
0.2500 0.9927 0.6747
0.4203 0.1468 0.3595
0.4238 0.8553 0.7326
0.4316 0.7912 0.3961
0.4375 0.1026 0.5582
0.4588 0.5719 0.4417
0.5412 0.4417 0.5719
0.5625 0.5582 0.1026
0.5684 0.3961 0.7912
0.5762 0.7326 0.8553
0.5797 0.3595 0.1468
0.7500 0.1189 0.9782
0.7500 0.2153 0.5155
0.7500 0.2962 0.9285
0.7500 0.6401 0.3463
0.7500 0.6747 0.9927
0.7500 0.6875 0.6315
0.7500 0.9316 0.0817
0.9203 0.3595 0.1468
0.9238 0.7326 0.8553
0.9316 0.3961 0.7912
0.9375 0.5582 0.1026
0.9588 0.4417 0.5719
```